Computed X-ray powder pattern
Compound: KPrHfZrO6
Radiation: Cu Kα (λ = 1.5418 Å)
Structure: a DFT-relaxed cell (GGA-PBE, the Materials Project)

Crystal structure
Unit cell a=5.873 b=5.873 c=5.873 alpha=60.00 beta=60.00 gamma=60.00
Atoms (fractional coordinates):
K 0.000 0.000 0.000
Pr 0.500 0.500 0.500
Hf 0.250 0.250 0.250
Zr 0.750 0.750 0.750
O 0.002 0.002 0.498
O 0.002 0.498 0.002
O 0.002 0.498 0.498
O 0.498 0.002 0.002
O 0.498 0.002 0.498
O 0.498 0.498 0.002

Principal peaks in the range 2θ from 15° to 90°, in order of rising 2θ:
Position (°2θ)  intensity
18.5  21.1
30.4  100.0
35.9  12.6
43.6  31.6
54.1  40.1
63.3  19.3
71.9  17.2
88.0  21.0